[1]
Calculated powder diffraction line list of Tl2Cd3Hg5 for Cu Kα (weighted mean of Kα1 and Kα2), from a PBE-relaxed structure.

Top 10 peaks for 10 to 80 degrees two-theta, sorted by position:
2theta	Rel. int.	index
32.4	63.2	3 3 -1
32.5	66.0	2 0 2
33.3	60.8	4 2 0
33.4	58.9	2 2 -2
35.9	100.0	1 5 1
46.5	20.2	5 3 1
46.6	19.6	1 3 -3
52.9	17.4	3 7 -1
60.2	19.8	3 5 3
66.1	15.5	7 5 -1

Crystal structure
a b c (Å): 11.670 14.042 6.476
angles (deg): 90.00 93.56 90.00
Space group C2/c (No. 15)
Symmetry-distinct sites (fractional):
Tl 0.117 0.248 0.102 [8 per cell]
Cd 0.000 0.477 0.250 [4 per cell]
Cd 0.127 0.139 0.629 [8 per cell]
Hg 0.000 0.042 0.250 [4 per cell]
Hg 0.132 0.348 0.587 [8 per cell]
Hg 0.240 0.454 0.995 [8 per cell]

[2]
Calculated powder diffraction line list of Pu2HfNiS5 for Cu Kα (weighted mean of Kα1 and Kα2), from a PBE-relaxed structure.

Top 10 peaks for 10 to 80 degrees two-theta, sorted by position:
2theta	Rel. int.	index
22.1	42.7	0 4 0
24.7	36.8	1 1 0
25.7	85.3	0 2 3
29.4	31.3	1 3 0
30.4	22.8	1 3 1
34.1	100.0	1 1 3
37.0	24.8	1 5 0
37.7	29.3	1 3 3
40.4	42.4	1 5 2
47.3	30.8	0 0 6

Crystal structure
a b c (Å): 3.693 16.075 11.525
angles (deg): 90.00 90.00 90.00
Space group Cmc2_1 (No. 36)
Symmetry-distinct sites (fractional):
Pu 0.000 0.108 0.000 [4 per cell]
Pu 0.000 0.122 0.353 [4 per cell]
Hf 0.000 0.178 0.676 [4 per cell]
Ni 0.000 0.439 0.077 [4 per cell]
S 0.000 0.021 0.676 [4 per cell]
S 0.000 0.306 0.019 [4 per cell]
S 0.000 0.307 0.333 [4 per cell]
S 0.000 0.340 0.673 [4 per cell]
S 0.000 0.499 0.907 [4 per cell]

[3]
Calculated powder diffraction line list of Tm4ScSb4 for Cu Kα (weighted mean of Kα1 and Kα2), from a PBE-relaxed structure.

Top 10 peaks for 10 to 80 degrees two-theta, sorted by position:
2theta	Rel. int.	index
22.3	100.0	1 1 2
36.0	34.0	2 2 0
37.3	57.7	2 0 4
42.8	35.6	3 1 2
44.9	13.1	1 1 6
51.9	11.6	4 0 0
58.9	11.4	3 1 6
65.6	20.5	4 2 4
68.0	7.5	2 2 8
69.5	8.1	5 1 2

Crystal structure
a b c (Å): 7.047 7.047 13.244
angles (deg): 90.00 90.00 90.00
Space group I-42m (No. 121)
Symmetry-distinct sites (fractional):
Tm 0.000 0.000 0.228 [4 per cell]
Tm 0.000 0.500 0.000 [4 per cell]
Sc 0.000 0.000 0.500 [2 per cell]
Sb 0.235 0.235 0.628 [8 per cell]

[4]
Calculated powder diffraction line list of Ce3Bi3Sb2 for Cu Kα (weighted mean of Kα1 and Kα2), from a PBE-relaxed structure.

Top 10 peaks for 10 to 80 degrees two-theta, sorted by position:
2theta	Rel. int.	index
28.4	19.8	0 0 2
29.3	25.1	2 1 0
30.5	13.2	1 0 2
32.7	100.0	2 1 1
33.4	21.8	3 0 0
34.4	40.0	1 1 2
48.7	11.8	2 2 2
53.1	26.0	2 1 3
54.1	12.4	4 0 2
65.1	15.9	5 0 2

Crystal structure
a b c (Å): 9.3021 9.3021 6.2851
angles (deg): 90.00 90.00 120.00
Space group P6_3/mcm (No. 193)
Symmetry-distinct sites (fractional):
Ce 0.0000 0.3921 0.2500 [6 per cell]
Bi 0.0000 0.2343 0.7500 [6 per cell]
Sb 0.3333 0.6667 0.0000 [4 per cell]